Structure and computed X-ray diffraction stick pattern of Li2Zn3Ir2 (a crystal structure in Alexandria, relaxed with PBE; a wavelength of 1.5418 Å).
Peak positions follow from Bragg's law for the DFT cell and can differ from measured ones.

Most intense lines, 5 to 70 degrees two-theta, by angle:
(hkl)  d/Å  2θ (°)  I (rel.)
1 0 0  4.387  20.24  100.0
0 0 2  4.360  20.37  47.7
1 0 2  3.092  28.87  11.7
0 2 2  2.349  38.31  60.2
2 0 0  2.193  41.15  30.9
0 0 4  2.180  41.42  27.6
1 2 2  2.070  43.73  96.9
2 0 2  1.959  46.34  11.6
1 0 -4  1.952  46.52  24.6
2 2 2  1.603  57.50  24.9
1 2 4  1.599  57.65  11.5
2 0 -4  1.548  59.75  9.3

Crystal structure
Cell: 4.387 5.574 8.719 Å, 90.00 90.11 90.00°
Space group P2_1/c (No. 14)
Asymmetric unit:
Li (0.000, 0.034, 0.132)
Zn (0.000, 0.000, 0.500)
Zn (0.499, 0.005, 0.738)
Ir (0.500, 0.234, 0.999)